For Tb4SiS2, DFT lattice parameters and positions (PBE) gives the theoretical powder XRD pattern in this record (Cu Ka).
Peak positions follow from Bragg's law for the DFT cell and can differ from measured ones.

The 10 most intense peaks (2θ from 5° to 70°), in order of rising 2θ:
| d (Å) | 2θ/deg | I/Imax |
| --- | --- | --- |
| 3.293 | 27.1 | 49.3 |
| 3.191 | 28.0 | 23.3 |
| 2.931 | 30.5 | 100.0 |
| 2.876 | 31.1 | 38.0 |
| 2.838 | 31.5 | 72.1 |
| 2.660 | 33.7 | 40.3 |
| 2.168 | 41.7 | 25.4 |
| 1.990 | 45.6 | 25.1 |
| 1.931 | 47.1 | 23.7 |
| 1.646 | 55.8 | 40.1 |

Structure:
abc: 6.6845 6.6845 13.2007
angles: 90.00 90.00 145.36
Positions (direct):
Tb  0.0000  0.0000  0.0000
Tb  0.0000  0.0000  0.5000
Tb  0.2747  0.7253  0.6229
Tb  0.2747  0.7253  0.8771
Tb  0.4473  0.5527  0.2500
Tb  0.5527  0.4473  0.7500
Tb  0.7253  0.2747  0.1229
Tb  0.7253  0.2747  0.3771
Si  0.1089  0.8911  0.2500
Si  0.8911  0.1089  0.7500
S  0.3635  0.6365  0.0618
S  0.3635  0.6365  0.4382
S  0.6365  0.3635  0.5618
S  0.6365  0.3635  0.9382